This entry pairs a crystal structure of Tb2Ga12Ni with its computed X-ray diffraction stick pattern. Radiation: a wavelength of 1.5418 Å. Structure: a cell relaxed with GGA-PBE.

Structural model:
Cell: 6.0445 6.0445 15.2944 Å, 90.00 90.00 90.00°
Sites, in units of the cell vectors:
Tb  0.2500  0.7500  0.2410
Tb  0.2500  0.7500  0.7590
Tb  0.7500  0.2500  0.2410
Tb  0.7500  0.2500  0.7590
Ga  0.0003  0.9997  0.0847
Ga  0.9997  0.0003  0.9153
Ga  0.9997  0.4997  0.0847
Ga  0.0003  0.5003  0.9153
Ga  0.0835  0.5835  0.4302
Ga  0.0835  0.9165  0.5698
Ga  0.2500  0.2500  0.1851
Ga  0.2500  0.2500  0.3439
Ga  0.2500  0.2500  0.6561
Ga  0.2500  0.2500  0.8149
Ga  0.4165  0.5835  0.5698
Ga  0.4165  0.9165  0.4302
Ga  0.5003  0.0003  0.0847
Ga  0.4997  0.9997  0.9153
Ga  0.4997  0.5003  0.0847
Ga  0.5003  0.4997  0.9153
Ga  0.5835  0.0835  0.5698
Ga  0.5835  0.4165  0.4302
Ga  0.7500  0.7500  0.1851
Ga  0.7500  0.7500  0.3439
Ga  0.7500  0.7500  0.6561
Ga  0.7500  0.7500  0.8149
Ga  0.9165  0.0835  0.4302
Ga  0.9165  0.4165  0.5698
Ni  0.2500  0.7500  0.0000
Ni  0.7500  0.2500  0.0000

Peak list (6 most intense, 10 to 90 degrees two-theta, sorted by position)
Position (°2θ)  I/Imax
31.4  56
31.8  100
37.9  30
41.2  36
42.3  60
53.6  29

=====

This entry pairs a crystal structure of Tb2Ga5Ni3 with its computed X-ray diffraction stick pattern. Radiation: a wavelength of 1.5418 Å. Structure: a cell relaxed with GGA-PBE.

Structural model:
Cell: 12.2863 12.2863 6.5803 Å, 90.00 90.00 160.36°
Sites, in units of the cell vectors:
Tb  0.0194  0.9806  0.5000
Tb  0.3261  0.6739  0.4629
Tb  0.6739  0.3261  0.9629
Tb  0.9806  0.0194  0.0000
Ga  0.1001  0.8999  0.1498
Ga  0.2061  0.7939  0.6555
Ga  0.2110  0.7890  0.2551
Ga  0.3746  0.6254  0.9893
Ga  0.4474  0.5526  0.3201
Ga  0.5526  0.4474  0.8201
Ga  0.6254  0.3746  0.4893
Ga  0.7890  0.2110  0.7551
Ga  0.7939  0.2061  0.1555
Ga  0.8999  0.1001  0.6498
Ni  0.1073  0.8927  0.7639
Ni  0.2734  0.7266  0.9529
Ni  0.4494  0.5506  0.7135
Ni  0.5506  0.4494  0.2135
Ni  0.7266  0.2734  0.4529
Ni  0.8927  0.1073  0.2639

Peak list (6 most intense, 10 to 90 degrees two-theta, sorted by position)
Position (°2θ)  I/Imax
36.3  69
36.5  100
39.7  28
39.8  29
43.2  40
70.0  21